1.
The following is a simulated powder X-ray diffraction pattern of Tm4P3S. It was derived from a GGA-PBE-relaxed structure, using Cu Kα, 1.54184 Å.
Lines closer than 0.1° are merged.

Peak list (9 most intense, 10 to 90 degrees two-theta, low angle first)
| d [Å] | I (rel.) |
| --- | --- |
| 3.203 | 90 |
| 2.774 | 100 |
| 1.961 | 73 |
| 1.673 | 43 |
| 1.601 | 25 |
| 1.387 | 12 |
| 1.273 | 17 |
| 1.240 | 33 |
| 1.132 | 25 |

Structural model:
```
data_Tm4P3S
_cell_length_a 5.5468
_cell_length_b 5.5468
_cell_length_c 11.0969
_cell_angle_alpha 90.00
_cell_angle_beta 90.00
_cell_angle_gamma 90.00
_space_group_name_H-M_alt 'I 4/m m m'
_space_group_IT_number 139
_space_group_name_Hall '-I 4 2'
loop_
_atom_site_label
_atom_site_type_symbol
_atom_site_fract_x
_atom_site_fract_y
_atom_site_fract_z
Tm1 Tm 0.0000 0.0000 0.2469
Tm2 Tm 0.0000 0.5000 0.0000
P1 P 0.0000 0.0000 0.0000
P2 P 0.0000 0.5000 0.2500
S1 S 0.0000 0.0000 0.5000
```


2.
The following is a simulated powder X-ray diffraction pattern of Tm7PS5. It was derived from a GGA-PBE-relaxed structure, using Cu Kα, 1.54184 Å.
Lines closer than 0.1° are merged.

Peak list (10 most intense, 10 to 90 degrees two-theta, low angle first)
| d [Å] | I (rel.) |
| --- | --- |
| 3.097 | 47 |
| 3.081 | 70 |
| 3.054 | 74 |
| 2.957 | 89 |
| 2.870 | 98 |
| 2.743 | 72 |
| 2.713 | 90 |
| 2.656 | 100 |
| 1.951 | 48 |
| 1.892 | 60 |

Structural model:
```
data_Tm7PS5
_cell_length_a 12.5734
_cell_length_b 3.7843
_cell_length_c 23.0224
_cell_angle_alpha 90.00
_cell_angle_beta 92.09
_cell_angle_gamma 90.00
_space_group_name_H-M_alt 'C 1 2/m 1'
_space_group_IT_number 12
loop_
_space_group_symop_operation_xyz
'x,y,z'
'-x,-y,-z'
'-x,y,-z'
'x,-y,z'
'x+1/2,y+1/2,z'
'-x+1/2,-y+1/2,-z'
'-x+1/2,y+1/2,-z'
'x+1/2,-y+1/2,z'
loop_
_atom_site_label
_atom_site_type_symbol
_atom_site_fract_x
_atom_site_fract_y
_atom_site_fract_z
Tm1 Tm 0.0363 0.0000 0.2528
Tm2 Tm 0.0769 0.5000 0.3924
Tm3 Tm 0.0987 0.5000 0.1159
Tm4 Tm 0.1340 0.0000 0.9629
Tm5 Tm 0.1432 0.0000 0.5370
Tm6 Tm 0.1843 0.5000 0.8224
Tm7 Tm 0.2053 0.5000 0.6810
P1 P 0.1930 0.5000 0.2314
S1 S 0.0000 0.5000 0.0000
S2 S 0.0000 0.5000 0.5000
S3 S 0.0425 0.0000 0.8564
S4 S 0.0637 0.0000 0.6438
S5 S 0.2197 0.0000 0.4279
S6 S 0.2272 0.0000 0.0709
```


3.
The following is a simulated powder X-ray diffraction pattern of U3P4S16. It was derived from a GGA-PBE-relaxed structure, using Cu Kα, 1.54184 Å.
Lines closer than 0.1° are merged.

Peak list (10 most intense, 10 to 90 degrees two-theta, low angle first)
| d [Å] | I (rel.) |
| --- | --- |
| 7.698 | 31 |
| 5.974 | 34 |
| 5.443 | 100 |
| 4.726 | 41 |
| 3.572 | 76 |
| 2.987 | 72 |
| 2.434 | 37 |
| 2.359 | 53 |
| 2.171 | 23 |
| 2.165 | 55 |

Structural model:
```
data_U3P4S16
_cell_length_a 10.8866
_cell_length_b 10.8866
_cell_length_c 18.9411
_cell_angle_alpha 90.00
_cell_angle_beta 90.00
_cell_angle_gamma 90.00
_space_group_name_H-M_alt 'I -4 c 2'
_space_group_IT_number 120
_space_group_name_Hall 'I -4 -2c'
loop_
_atom_site_label
_atom_site_type_symbol
_atom_site_fract_x
_atom_site_fract_y
_atom_site_fract_z
U1 U 0.0000 0.0000 0.0000
U2 U 0.0000 0.0000 0.2500
U3 U 0.0000 0.5000 0.0000
P1 P 0.0356 0.2468 0.3748
S1 S 0.0607 0.2423 0.7835
S2 S 0.0753 0.2425 0.9635
S3 S 0.0843 0.1350 0.1250
S4 S 0.0994 0.3614 0.6075
```


4.
The following is a simulated powder X-ray diffraction pattern of U5P5S2. It was derived from a GGA-PBE-relaxed structure, using Cu Kα, 1.54184 Å.
Lines closer than 0.1° are merged.

Peak list (10 most intense, 10 to 90 degrees two-theta, low angle first)
| d [Å] | I (rel.) |
| --- | --- |
| 3.590 | 100 |
| 3.529 | 94 |
| 3.369 | 47 |
| 3.247 | 59 |
| 2.866 | 41 |
| 2.730 | 61 |
| 2.583 | 45 |
| 2.064 | 39 |
| 1.945 | 45 |
| 1.916 | 58 |

Structural model:
```
data_U5P5S2
_cell_length_a 12.9921
_cell_length_b 3.8338
_cell_length_c 11.1834
_cell_angle_alpha 90.00
_cell_angle_beta 107.95
_cell_angle_gamma 90.00
_space_group_name_H-M_alt 'C 1 2/m 1'
_space_group_IT_number 12
loop_
_space_group_symop_operation_xyz
'x,y,z'
'-x,-y,-z'
'-x,y,-z'
'x,-y,z'
'x+1/2,y+1/2,z'
'-x+1/2,-y+1/2,-z'
'-x+1/2,y+1/2,-z'
'x+1/2,-y+1/2,z'
loop_
_atom_site_label
_atom_site_type_symbol
_atom_site_fract_x
_atom_site_fract_y
_atom_site_fract_z
U1 U 0.0000 0.0000 0.0000
U2 U 0.1193 0.0000 0.4287
U3 U 0.1945 0.5000 0.8025
P1 P 0.0000 0.5000 0.5000
P2 P 0.1591 0.5000 0.0535
P3 P 0.2255 0.5000 0.3358
S1 S 0.0429 0.0000 0.7852
```


5.
The following is a simulated powder X-ray diffraction pattern of UP2S6. It was derived from a GGA-PBE-relaxed structure, using Cu Kα, 1.54184 Å.
Lines closer than 0.1° are merged.

Peak list (10 most intense, 10 to 90 degrees two-theta, low angle first)
| d [Å] | I (rel.) |
| --- | --- |
| 7.087 | 100 |
| 5.011 | 24 |
| 4.004 | 24 |
| 3.486 | 31 |
| 3.169 | 22 |
| 2.862 | 12 |
| 2.654 | 41 |
| 2.296 | 14 |
| 2.226 | 12 |
| 2.035 | 18 |

Structural model:
```
data_UP2S6
_cell_length_a 7.0870
_cell_length_b 7.0870
_cell_length_c 9.7063
_cell_angle_alpha 90.00
_cell_angle_beta 90.00
_cell_angle_gamma 90.00
_space_group_name_H-M_alt 'P 42/m'
_space_group_IT_number 84
loop_
_space_group_symop_operation_xyz
'x,y,z'
'-x,-y,-z'
'-y,x,z+1/2'
'y,-x,-z+1/2'
'-x,-y,z'
'x,y,-z'
'y,-x,z+1/2'
'-y,x,-z+1/2'
loop_
_atom_site_label
_atom_site_type_symbol
_atom_site_fract_x
_atom_site_fract_y
_atom_site_fract_z
U1 U 0.0000 0.0000 0.2500
P1 P 0.0576 0.3470 0.0000
S1 S 0.1718 0.1729 0.5000
S2 S 0.2061 0.3141 0.1762
```


6.
The following is a simulated powder X-ray diffraction pattern of UP4S12. It was derived from a GGA-PBE-relaxed structure, using Cu Kα, 1.54184 Å.
Lines closer than 0.1° are merged.

Peak list (10 most intense, 10 to 90 degrees two-theta, low angle first)
| d [Å] | I (rel.) |
| --- | --- |
| 7.932 | 31 |
| 6.712 | 74 |
| 5.124 | 100 |
| 3.482 | 24 |
| 3.213 | 34 |
| 3.002 | 18 |
| 2.877 | 19 |
| 2.460 | 23 |
| 2.321 | 18 |
| 2.309 | 24 |

Structural model:
```
data_UP4S12
_cell_length_a 13.4241
_cell_length_b 13.4241
_cell_length_c 9.8326
_cell_angle_alpha 90.00
_cell_angle_beta 90.00
_cell_angle_gamma 90.00
_space_group_name_H-M_alt 'I 41/a'
_space_group_IT_number 88
loop_
_space_group_symop_operation_xyz
'x,y,z'
'-x,-y,-z'
'-y+3/4,x+1/4,z+1/4'
'y+3/4,-x+1/4,-z+1/4'
'-x+1/2,-y,z+1/2'
'x+1/2,y,-z+1/2'
'y+3/4,-x+3/4,z+3/4'
'-y+3/4,x+3/4,-z+3/4'
'x+1/2,y+1/2,z+1/2'
'-x+1/2,-y+1/2,-z+1/2'
'-y+1/4,x+3/4,z+3/4'
'y+1/4,-x+3/4,-z+3/4'
'-x,-y+1/2,z'
'x,y+1/2,-z'
'y+1/4,-x+1/4,z+1/4'
'-y+1/4,x+1/4,-z+1/4'
loop_
_atom_site_label
_atom_site_type_symbol
_atom_site_fract_x
_atom_site_fract_y
_atom_site_fract_z
U1 U 0.0000 0.2500 0.1250
P1 P 0.0050 0.0666 0.3806
S1 S 0.0607 0.4205 0.5783
S2 S 0.0841 0.3636 0.9053
S3 S 0.0925 0.4254 0.2263
```


7.
The following is a simulated powder X-ray diffraction pattern of VP2S2. It was derived from a GGA-PBE-relaxed structure, using Cu Kα, 1.54184 Å.
Lines closer than 0.1° are merged.

Peak list (10 most intense, 10 to 90 degrees two-theta, low angle first)
| d [Å] | I (rel.) |
| --- | --- |
| 4.631 | 55 |
| 4.301 | 18 |
| 3.274 | 27 |
| 3.152 | 40 |
| 2.605 | 55 |
| 2.315 | 100 |
| 2.151 | 39 |
| 1.637 | 31 |
| 1.576 | 54 |
| 1.303 | 28 |

Structural model:
```
data_VP2S2
_cell_length_a 4.6307
_cell_length_b 4.6307
_cell_length_c 4.3014
_cell_angle_alpha 90.00
_cell_angle_beta 90.00
_cell_angle_gamma 90.00
_space_group_name_H-M_alt 'P 4/m m m'
_space_group_IT_number 123
_space_group_name_Hall '-P 4 2'
loop_
_atom_site_label
_atom_site_type_symbol
_atom_site_fract_x
_atom_site_fract_y
_atom_site_fract_z
V1 V 0.0000 0.0000 0.0000
P1 P 0.0000 0.5000 0.0000
S1 S 0.0000 0.0000 0.5000
S2 S 0.5000 0.5000 0.5000
```


8.
The following is a simulated powder X-ray diffraction pattern of V2P4S13. It was derived from a GGA-PBE-relaxed structure, using Cu Kα, 1.54184 Å.
Lines closer than 0.1° are merged.

Peak list (10 most intense, 10 to 90 degrees two-theta, low angle first)
| d [Å] | I (rel.) |
| --- | --- |
| 8.044 | 11 |
| 7.492 | 8 |
| 6.453 | 100 |
| 3.955 | 5 |
| 2.870 | 10 |
| 2.864 | 8 |
| 2.820 | 5 |
| 2.726 | 5 |
| 2.667 | 6 |
| 2.635 | 7 |

Structural model:
```
data_V2P4S13
_cell_length_a 9.6386
_cell_length_b 9.8984
_cell_length_c 12.1239
_cell_angle_alpha 72.76
_cell_angle_beta 74.47
_cell_angle_gamma 70.37
_space_group_name_H-M_alt 'P -1'
_space_group_IT_number 2
loop_
_space_group_symop_operation_xyz
'x,y,z'
'-x,-y,-z'
loop_
_atom_site_label
_atom_site_type_symbol
_atom_site_fract_x
_atom_site_fract_y
_atom_site_fract_z
V1 V 0.0968 0.0206 0.1033
V2 V 0.3921 0.4908 0.3985
P1 P 0.0058 0.7461 0.1115
P2 P 0.2491 0.4298 0.2361
P3 P 0.2671 0.0660 0.2535
P4 P 0.3711 0.7655 0.4753
S1 S 0.0037 0.1750 0.7515
S2 S 0.0420 0.1323 0.2685
S3 S 0.0699 0.5122 0.1388
S4 S 0.1442 0.8461 0.9721
S5 S 0.1837 0.3891 0.4106
S6 S 0.1906 0.1966 0.9459
S7 S 0.2048 0.6957 0.4560
S8 S 0.3426 0.9971 0.4178
S9 S 0.3526 0.9217 0.1505
S10 S 0.3727 0.2390 0.1660
S11 S 0.3949 0.5524 0.1896
S12 S 0.3983 0.7282 0.6413
S13 S 0.4353 0.3645 0.6076
```


9.
The following is a simulated powder X-ray diffraction pattern of V3P4S12. It was derived from a GGA-PBE-relaxed structure, using Cu Kα, 1.54184 Å.
Lines closer than 0.1° are merged.

Peak list (10 most intense, 10 to 90 degrees two-theta, low angle first)
| d [Å] | I (rel.) |
| --- | --- |
| 6.734 | 100 |
| 3.367 | 23 |
| 2.956 | 23 |
| 2.923 | 11 |
| 2.573 | 75 |
| 2.548 | 36 |
| 1.927 | 15 |
| 1.731 | 14 |
| 1.712 | 25 |
| 1.676 | 11 |

Structural model:
```
data_V3P4S12
_cell_length_a 5.9107
_cell_length_b 10.3891
_cell_length_c 13.6155
_cell_angle_alpha 90.00
_cell_angle_beta 98.47
_cell_angle_gamma 90.00
_space_group_name_H-M_alt 'C 1 2 1'
_space_group_IT_number 5
loop_
_space_group_symop_operation_xyz
'x,y,z'
'-x,y,-z'
'x+1/2,y+1/2,z'
'-x+1/2,y+1/2,-z'
loop_
_atom_site_label
_atom_site_type_symbol
_atom_site_fract_x
_atom_site_fract_y
_atom_site_fract_z
V1 V 0.0000 0.0000 0.0000
V2 V 0.0000 0.1511 0.5000
V3 V 0.0000 0.4964 0.5000
P1 P 0.0290 0.3219 0.0806
P2 P 0.0290 0.8238 0.5809
S1 S 0.0959 0.1470 0.8806
S2 S 0.1161 0.3238 0.3883
S3 S 0.1300 0.8418 0.8805
S4 S 0.1311 0.6536 0.3848
S5 S 0.1313 0.9940 0.3852
S6 S 0.1598 0.4747 0.8815
```


10.
The following is a simulated powder X-ray diffraction pattern of P2WS2. It was derived from a GGA-PBE-relaxed structure, using Cu Kα, 1.54184 Å.
Lines closer than 0.1° are merged.

Peak list (10 most intense, 10 to 90 degrees two-theta, low angle first)
| d [Å] | I (rel.) |
| --- | --- |
| 5.028 | 67 |
| 4.556 | 100 |
| 3.376 | 96 |
| 3.222 | 40 |
| 2.514 | 32 |
| 2.278 | 48 |
| 2.201 | 30 |
| 2.075 | 27 |
| 1.888 | 38 |
| 1.688 | 37 |

Structural model:
```
data_P2WS2
_cell_length_a 4.5561
_cell_length_b 4.5561
_cell_length_c 5.0282
_cell_angle_alpha 90.00
_cell_angle_beta 90.00
_cell_angle_gamma 90.00
_space_group_name_H-M_alt 'P 4/m m m'
_space_group_IT_number 123
_space_group_name_Hall '-P 4 2'
loop_
_atom_site_label
_atom_site_type_symbol
_atom_site_fract_x
_atom_site_fract_y
_atom_site_fract_z
P1 P 0.0000 0.0000 0.0000
P2 P 0.5000 0.5000 0.0000
W1 W 0.0000 0.0000 0.5000
S1 S 0.0000 0.5000 0.5000
```